Theoretical powder diffractogram
Compound: Li12Mn2O9
Radiation: λ = 1.5418 Å (Cu Kα)
Structure: a crystal structure in the Materials Project, relaxed with PBE+U

Most intense lines, 2θ = 15–90°, most intense first:
2theta  I/Imax  hkl
20.4  100.0  0 1 1
20.7  93.1  1 1 1
21.7  82.7  1 1 -1
21.1  74.7  1 0 -1
33.0  68.5  0 0 3
21.8  38.6  0 0 2

Atomic structure:
```
Li12Mn2O9
1.0
5.674 0.000 0.000
2.690 5.098 0.000
0.406 0.148 8.151
Li Mn O
12 2 9
Direct
0.000 0.000 0.000
0.008 0.662 0.828
0.042 0.369 0.136
0.267 0.098 0.817
0.320 0.974 0.312
0.339 0.717 0.657
0.596 0.114 0.141
0.655 0.413 0.322
0.673 0.977 0.657
0.688 0.333 0.808
0.927 0.749 0.319
0.971 0.066 0.511
0.275 0.368 0.498
0.593 0.707 0.012
0.020 0.336 0.373
0.259 0.703 0.422
0.318 0.042 0.062
0.357 0.360 0.718
0.612 0.079 0.408
0.621 0.712 0.775
0.719 0.350 0.065
0.893 0.745 0.087
0.994 0.999 0.747
```